Calculated X-ray diffraction stick pattern of TlRe4S8 for Cu Kα, from a structure optimized by DFT (PBE).
No peak broadening, texture or thermal motion is included.

Most intense lines, 2θ from 15° to 90°, low angle first:
2θ 20.8, I 498; 2θ 22.3, I 799; 2θ 24.3, I 787; 2θ 32.1, I 1000; 2θ 32.6, I 537; 2θ 40.5, I 392; 2θ 42.5, I 347; 2θ 42.8, I 516; 2θ 48.2, I 468; 2θ 55.9, I 387

Structural model:
Unit cell a=8.713 b=8.713 c=11.475 alpha=130.94 beta=130.94 gamma=21.31
Element x y z (fractional)
Tl 0.000 0.000 0.000
Re 0.137 0.137 0.473
Re 0.325 0.325 0.139
Re 0.675 0.675 0.861
Re 0.863 0.863 0.527
S 0.037 0.037 0.759
S 0.297 0.297 0.909
S 0.328 0.328 0.653
S 0.390 0.390 0.411
S 0.610 0.610 0.589
S 0.672 0.672 0.347
S 0.703 0.703 0.091
S 0.963 0.963 0.241

***

Calculated X-ray diffraction stick pattern of Tl2ZnPdF6 for Cu Kα, from a structure optimized by DFT (PBE).
No peak broadening, texture or thermal motion is included.

Most intense lines, 2θ from 15° to 90°, low angle first:
2θ 22.0, I 323; 2θ 26.1, I 535; 2θ 28.3, I 287; 2θ 29.3, I 1000; 2θ 36.9, I 237; 2θ 39.6, I 308; 2θ 41.2, I 229; 2θ 51.3, I 191; 2θ 51.9, I 207; 2θ 60.7, I 198

Structural model:
Unit cell a=11.041 b=11.041 c=11.041 alpha=32.09 beta=32.09 gamma=32.09
Element x y z (fractional)
Tl 0.123 0.123 0.123
Tl 0.283 0.283 0.283
Tl 0.717 0.717 0.717
Tl 0.877 0.877 0.877
Zn 0.407 0.407 0.407
Zn 0.593 0.593 0.593
Pd 0.000 0.000 0.000
Pd 0.500 0.500 0.500
F 0.148 0.603 0.603
F 0.209 0.209 0.707
F 0.209 0.707 0.209
F 0.293 0.791 0.791
F 0.397 0.397 0.852
F 0.397 0.852 0.397
F 0.603 0.148 0.603
F 0.603 0.603 0.148
F 0.707 0.209 0.209
F 0.791 0.293 0.791
F 0.791 0.791 0.293
F 0.852 0.397 0.397

***

Repeat the second record exactly.
Calculated X-ray diffraction stick pattern of Tl2ZnPdF6 for Cu Kα, from a structure optimized by DFT (PBE).
No peak broadening, texture or thermal motion is included.

Most intense lines, 2θ from 15° to 90°, low angle first:
2θ 22.0, I 323; 2θ 26.1, I 535; 2θ 28.3, I 287; 2θ 29.3, I 1000; 2θ 36.9, I 237; 2θ 39.6, I 308; 2θ 41.2, I 229; 2θ 51.3, I 191; 2θ 51.9, I 207; 2θ 60.7, I 198

Structural model:
Unit cell a=11.041 b=11.041 c=11.041 alpha=32.09 beta=32.09 gamma=32.09
Element x y z (fractional)
Tl 0.123 0.123 0.123
Tl 0.283 0.283 0.283
Tl 0.717 0.717 0.717
Tl 0.877 0.877 0.877
Zn 0.407 0.407 0.407
Zn 0.593 0.593 0.593
Pd 0.000 0.000 0.000
Pd 0.500 0.500 0.500
F 0.148 0.603 0.603
F 0.209 0.209 0.707
F 0.209 0.707 0.209
F 0.293 0.791 0.791
F 0.397 0.397 0.852
F 0.397 0.852 0.397
F 0.603 0.148 0.603
F 0.603 0.603 0.148
F 0.707 0.209 0.209
F 0.791 0.293 0.791
F 0.791 0.791 0.293
F 0.852 0.397 0.397